Record 1
Structure and theoretical PXRD pattern of Pd16S7 (a DFT-relaxed cell (PBE, Alexandria); Cu Kα (λ = 1.5418 Å)).

a b c (Å): 7.8360 7.8360 7.8360
angles (deg): 109.47 109.47 109.47
Atoms (fractional coordinates):
1 Pd 0.0000 0.0000 0.2297
2 Pd 0.0000 0.2297 0.0000
3 Pd 0.0000 0.2473 0.5855
4 Pd 0.0000 0.5855 0.2473
5 Pd 0.2297 0.0000 0.0000
6 Pd 0.2473 0.0000 0.5855
7 Pd 0.2473 0.5855 0.0000
8 Pd 0.3382 0.7527 0.7527
9 Pd 0.4145 0.4145 0.6618
10 Pd 0.4145 0.6618 0.4145
11 Pd 0.5855 0.0000 0.2473
12 Pd 0.5855 0.2473 0.0000
13 Pd 0.6618 0.4145 0.4145
14 Pd 0.7527 0.3382 0.7527
15 Pd 0.7527 0.7527 0.3382
16 Pd 0.7703 0.7703 0.7703
17 S 0.0000 0.0000 0.6884
18 S 0.0000 0.5000 0.5000
19 S 0.0000 0.6884 0.0000
20 S 0.3116 0.3116 0.3116
21 S 0.5000 0.0000 0.5000
22 S 0.5000 0.5000 0.0000
23 S 0.6884 0.0000 0.0000

Most intense lines, 2θ = 15–90°, sorted by position:
2θ (°), d [Å], I_rel
24.1, 3.694, 26.4
34.3, 2.612, 16.5
37.2, 2.418, 100.0
39.9, 2.262, 26.4
42.4, 2.133, 43.8
49.3, 1.847, 13.5
59.6, 1.552, 13.3
63.4, 1.468, 19.1
70.6, 1.334, 12.5
77.5, 1.231, 18.8



Record 2
Structure and theoretical PXRD pattern of SbPdS (a DFT-relaxed cell (PBE, Alexandria); Cu Kα (λ = 1.5418 Å)).

a b c (Å): 6.2673 6.2673 6.2673
angles (deg): 90.00 90.00 90.00
Atoms (fractional coordinates):
1 Sb 0.1205 0.3795 0.6205
2 Sb 0.3795 0.6205 0.1205
3 Sb 0.6205 0.1205 0.3795
4 Sb 0.8795 0.8795 0.8795
5 Pd 0.0107 0.9893 0.4893
6 Pd 0.4893 0.0107 0.9893
7 Pd 0.5107 0.5107 0.5107
8 Pd 0.9893 0.4893 0.0107
9 S 0.1118 0.1118 0.1118
10 S 0.3882 0.8882 0.6118
11 S 0.6118 0.3882 0.8882
12 S 0.8882 0.6118 0.3882

Most intense lines, 2θ = 15–90°, sorted by position:
2θ (°), d [Å], I_rel
20.0, 4.432, 24.3
24.6, 3.618, 23.8
28.5, 3.134, 58.7
31.9, 2.803, 100.0
35.1, 2.559, 56.2
40.7, 2.216, 35.6
48.2, 1.890, 95.8
52.7, 1.738, 22.5
54.8, 1.675, 31.8
79.5, 1.206, 30.7



Record 3
Structure and theoretical PXRD pattern of SbPdS2 (a DFT-relaxed cell (PBE, Alexandria); Cu Kα (λ = 1.5418 Å)).

a b c (Å): 5.1455 5.6277 6.0187
angles (deg): 90.00 90.00 90.00
Atoms (fractional coordinates):
1 Sb 0.0000 0.0989 0.0000
2 Sb 0.5000 0.9011 0.5000
3 Pd 0.0000 0.4008 0.3479
4 Pd 0.5000 0.5992 0.8479
5 S 0.0000 0.0428 0.5561
6 S 0.0000 0.5565 0.9649
7 S 0.5000 0.4435 0.4649
8 S 0.5000 0.9572 0.0561

Most intense lines, 2θ = 15–90°, sorted by position:
2θ (°), d [Å], I_rel
22.7, 3.911, 51.1
23.4, 3.797, 98.4
27.8, 3.212, 100.0
29.7, 3.009, 45.5
33.8, 2.654, 64.8
34.9, 2.573, 89.1
35.2, 2.549, 81.4
47.6, 1.909, 70.1
48.7, 1.869, 43.3
50.4, 1.811, 57.5